Theoretical X-ray diffraction stick pattern of Rb2Cu3I8 for Cu Kα, 1.54184 Å, from the GGA-PBE geometry in Alexandria.
Peak positions follow from Bragg's law for the DFT cell and can differ from measured ones.

Peak list (10 most intense, 2θ = 5–70°, by angle)
two_theta, intensity
14.32, 76.3
21.49, 76.1
21.71, 55.8
25.42, 100.0
28.00, 77.2
28.38, 33.1
28.76, 59.5
33.88, 35.3
35.28, 45.7
35.56, 52.9

Cell and atoms:
a = 16.025 Å, b = 10.178 Å, c = 7.792 Å
α = 90.00°, β = 117.68°, γ = 90.00°
Space group C2/m (No. 12)
Inequivalent atoms, fractional coordinates:
Rb1 0.224 0.000 0.335 x4
Cu1 0.000 0.190 0.500 x4
Cu2 0.000 0.500 0.000 x2
I1 0.074 0.296 0.303 x8
I2 0.118 0.000 0.696 x4
I3 0.161 0.500 0.983 x4



Theoretical X-ray diffraction stick pattern of Rb4CuI5 for Cu Kα, 1.54184 Å, from the GGA-PBE geometry in Alexandria.
Peak positions follow from Bragg's law for the DFT cell and can differ from measured ones.

Peak list (10 most intense, 2θ = 5–70°, by angle)
two_theta, intensity
14.32, 9.0
21.43, 16.8
23.97, 56.1
25.19, 100.0
31.26, 16.2
35.05, 75.2
35.93, 31.9
43.66, 28.7
53.95, 8.6
55.95, 16.4

Cell and atoms:
a = 11.178 Å, b = 11.178 Å, c = 7.424 Å
α = 90.00°, β = 90.00°, γ = 90.00°
Space group I4 (No. 79)
Inequivalent atoms, fractional coordinates:
Rb1 0.090 0.300 0.000 x8
Cu1 0.000 0.000 0.420 x2
I1 0.000 0.000 0.073 x2
I2 0.084 0.255 0.504 x8



Theoretical X-ray diffraction stick pattern of Rb3Cu2I8 for Cu Kα, 1.54184 Å, from the GGA-PBE geometry in Alexandria.
Peak positions follow from Bragg's law for the DFT cell and can differ from measured ones.

Peak list (10 most intense, 2θ = 5–70°, by angle)
two_theta, intensity
23.13, 32.2
24.42, 50.5
24.53, 38.2
27.32, 100.0
28.37, 32.5
28.93, 47.1
30.09, 36.5
40.61, 54.6
47.26, 51.9
53.90, 33.0

Cell and atoms:
a = 7.6929 Å, b = 7.6929 Å, c = 32.8001 Å
α = 90.00°, β = 90.00°, γ = 120.00°
Space group R-3m (No. 166, hexagonal axes)
Inequivalent atoms, fractional coordinates:
Rb1 0.0000 0.0000 0.0000 x3
Rb2 0.0000 0.0000 0.2099 x6
Cu1 0.0000 0.0000 0.3991 x6
I1 0.0000 0.0000 0.3222 x6
I2 0.0105 0.5053 0.7690 x18